Structure and theoretical powder diffraction line list of BS2N2 (the PBE geometry in Alexandria; Cu Ka).
Intensities are scaled so that the largest is 100.

The 12 most intense peaks (2θ = 5–70°), in order of rising 2θ:
two_theta	Rel. int.
12.0	39
24.1	100
36.4	3
40.6	9
42.5	48
47.8	11
49.3	10
55.7	19
58.8	11
60.2	3
64.5	16
65.7	4

Structural model:
Cell: 3.141 3.141 7.396 Å, 90.00 90.00 90.00°
Sites, in units of the cell vectors:
B (0.000, 0.000, 0.000)
S (0.000, 0.000, 0.500)
S (0.500, 0.500, 0.500)
N (0.000, 0.500, 0.000)
N (0.500, 0.000, 0.000)